For Ca15NiIr4O24, a crystal structure in the Materials Project, relaxed with GGA+U gives the calculated PXRD pattern in this record (copper Kα).
Intensities are scaled so that the largest is 100.

Atomic structure:
abc: 6.578 9.386 9.223
angles: 90.00 91.33 90.00
Fractional positions:
Ca 0.000 0.000 0.000
Ca 0.000 0.135 0.500
Ca 0.000 0.495 0.500
Ca 0.000 0.635 0.000
Ca 0.137 0.815 0.679
Ca 0.147 0.313 0.178
Ca 0.361 0.956 0.313
Ca 0.365 0.452 0.824
Ca 0.500 0.274 0.500
Ca 0.500 0.636 0.500
Ca 0.500 0.781 0.000
Ca 0.635 0.452 0.176
Ca 0.639 0.956 0.687
Ca 0.853 0.313 0.822
Ca 0.863 0.815 0.321
Ni 0.500 0.135 0.000
Ir 0.250 0.635 0.250
Ir 0.252 0.136 0.752
Ir 0.748 0.136 0.248
Ir 0.750 0.635 0.750
O 0.045 0.072 0.259
O 0.047 0.571 0.757
O 0.175 0.811 0.130
O 0.181 0.310 0.629
O 0.194 0.747 0.435
O 0.212 0.243 0.940
O 0.304 0.523 0.066
O 0.306 0.024 0.567
O 0.326 0.457 0.369
O 0.331 0.970 0.882
O 0.452 0.194 0.225
O 0.453 0.703 0.743
O 0.547 0.703 0.257
O 0.548 0.194 0.775
O 0.669 0.970 0.118
O 0.674 0.457 0.631
O 0.694 0.024 0.433
O 0.696 0.523 0.934
O 0.788 0.243 0.060
O 0.806 0.747 0.565
O 0.819 0.310 0.371
O 0.825 0.811 0.870
O 0.953 0.571 0.243
O 0.955 0.072 0.741

Top 6 peaks for 2θ from 10° to 90°, by angle:
2theta  d (Å)  Rel. int.
18.9  4.691  100
19.2  4.612  74
33.1  2.708  75
39.1  2.306  32
43.3  2.091  26
43.7  2.069  52



For FeCuP2O8, a crystal structure in the Materials Project, relaxed with GGA+U gives the calculated PXRD pattern in this record (copper Kα).
Intensities are scaled so that the largest is 100.

Atomic structure:
abc: 5.049 5.967 10.004
angles: 90.00 93.64 90.00
Fractional positions:
Fe 0.041 0.250 0.283
Fe 0.959 0.750 0.717
Cu 0.368 0.250 0.804
Cu 0.632 0.750 0.196
P 0.097 0.750 0.396
P 0.442 0.750 0.898
P 0.558 0.250 0.102
P 0.903 0.250 0.604
O 0.143 0.750 0.549
O 0.214 0.250 0.633
O 0.216 0.540 0.332
O 0.216 0.960 0.332
O 0.265 0.250 0.124
O 0.271 0.556 0.826
O 0.271 0.944 0.826
O 0.390 0.750 0.049
O 0.610 0.250 0.951
O 0.729 0.056 0.174
O 0.729 0.444 0.174
O 0.735 0.750 0.876
O 0.784 0.040 0.668
O 0.784 0.460 0.668
O 0.786 0.750 0.367
O 0.857 0.250 0.451

Top 6 peaks for 2θ from 10° to 90°, by angle:
2theta  d (Å)  Rel. int.
17.8  4.992  65
19.2  4.618  100
24.3  3.661  41
25.2  3.535  42
30.0  2.983  86
36.5  2.459  38



For Li6Fe2PC4O16, a crystal structure in the Materials Project, relaxed with GGA+U gives the calculated PXRD pattern in this record (copper Kα).
Intensities are scaled so that the largest is 100.

Atomic structure:
abc: 9.451 9.451 9.439
angles: 119.92 119.92 89.93
Fractional positions:
Li 0.070 0.323 0.145
Li 0.071 0.323 0.748
Li 0.074 0.926 0.750
Li 0.322 0.678 0.250
Li 0.323 0.070 0.645
Li 0.323 0.071 0.248
Li 0.677 0.929 0.752
Li 0.677 0.930 0.355
Li 0.678 0.322 0.750
Li 0.926 0.074 0.250
Li 0.929 0.677 0.252
Li 0.930 0.677 0.855
Fe 0.000 0.500 0.500
Fe 0.500 0.000 0.000
Fe 0.500 0.500 0.000
Fe 0.500 0.500 0.500
P 0.125 0.875 0.250
P 0.875 0.125 0.750
C 0.277 0.720 0.554
C 0.280 0.336 0.560
C 0.280 0.723 0.946
C 0.336 0.280 0.060
C 0.664 0.720 0.940
C 0.720 0.277 0.054
C 0.720 0.664 0.440
C 0.723 0.280 0.446
O 0.057 0.942 0.384
O 0.058 0.674 0.116
O 0.058 0.943 0.116
O 0.135 0.590 0.419
O 0.136 0.326 0.541
O 0.136 0.713 0.809
O 0.287 0.864 0.691
O 0.295 0.588 0.953
O 0.296 0.340 0.432
O 0.326 0.136 0.041
O 0.326 0.942 0.384
O 0.340 0.296 0.932
O 0.341 0.413 0.207
O 0.410 0.865 0.081
O 0.412 0.705 0.547
O 0.413 0.341 0.707
O 0.587 0.659 0.293
O 0.588 0.295 0.453
O 0.590 0.135 0.919
O 0.659 0.587 0.793
O 0.660 0.704 0.068
O 0.674 0.058 0.616
O 0.674 0.864 0.959
O 0.704 0.660 0.568
O 0.705 0.412 0.047
O 0.713 0.136 0.309
O 0.864 0.287 0.191
O 0.864 0.674 0.459
O 0.865 0.410 0.581
O 0.942 0.057 0.884
O 0.942 0.326 0.884
O 0.943 0.058 0.616

Top 6 peaks for 2θ from 10° to 90°, by angle:
2theta  d (Å)  Rel. int.
11.5  7.722  44
22.0  4.032  100
26.7  3.343  42
34.9  2.574  37
38.1  2.363  25
39.9  2.259  27